# 1
AsPd10: simulated X-ray diffraction stick pattern (Cu Kα, 1.54184 Å), based on DFT lattice parameters and positions (PBE).
Kinematic intensities with the Lorentz-polarization factor, no thermal factor.

Peak list (8 most intense, 15 to 90 degrees two-theta, in order of rising 2θ)
two_theta, I (rel.)
37.2, 33
39.6, 100
39.9, 94
40.7, 43
44.4, 33
46.9, 33
47.3, 40
68.8, 24

Atomic structure:
```
AsPd10
1.0
4.334 -1.938 0.000
4.334 1.938 0.000
-0.341 0.000 29.848
As Pd
2 20
Direct
0.154 0.154 0.195
0.846 0.846 0.805
0.045 0.045 0.697
0.050 0.050 0.394
0.148 0.148 0.793
0.150 0.150 0.485
0.251 0.251 0.575
0.257 0.257 0.273
0.346 0.346 0.667
0.352 0.352 0.364
0.447 0.447 0.760
0.449 0.449 0.455
0.551 0.551 0.545
0.553 0.553 0.240
0.648 0.648 0.636
0.654 0.654 0.333
0.743 0.743 0.727
0.749 0.749 0.425
0.850 0.850 0.515
0.852 0.852 0.207
0.950 0.950 0.606
0.955 0.955 0.303
```

=====

# 2
HoLuAg2Pb2: simulated X-ray diffraction stick pattern (Cu Kα, 1.54184 Å), based on DFT lattice parameters and positions (PBE).
Kinematic intensities with the Lorentz-polarization factor, no thermal factor.

Peak list (8 most intense, 15 to 90 degrees two-theta, in order of rising 2θ)
two_theta, I (rel.)
24.6, 28
32.4, 100
37.6, 88
42.6, 27
50.4, 29
63.4, 15
64.6, 28
67.8, 17

Atomic structure:
```
HoLuAg2Pb2
1.0
4.786 0.000 0.000
-2.393 4.145 0.000
0.000 0.000 7.420
Ho Lu Ag Pb
1 1 2 2
Direct
0.000 0.000 0.000
0.000 0.000 0.501
0.333 0.667 0.679
0.667 0.333 0.181
0.333 0.667 0.279
0.667 0.333 0.777
```

=====

# 3
Er2H2BrClO2: simulated X-ray diffraction stick pattern (Cu Kα, 1.54184 Å), based on DFT lattice parameters and positions (PBE).
Kinematic intensities with the Lorentz-polarization factor, no thermal factor.

Peak list (8 most intense, 15 to 90 degrees two-theta, in order of rising 2θ)
two_theta, I (rel.)
18.2, 48
26.8, 30
28.3, 100
32.5, 21
38.7, 88
47.3, 40
51.0, 20
62.6, 21

Atomic structure:
```
Er2H2BrClO2
1.0
3.847 0.000 0.000
-1.924 3.332 0.000
0.000 0.000 9.767
Er H Br Cl O
2 2 1 1 2
Direct
0.000 0.000 0.000
0.333 0.667 0.475
0.667 0.333 0.306
0.667 0.333 0.827
0.000 0.000 0.676
0.333 0.667 0.176
0.667 0.333 0.406
0.667 0.333 0.927
```

=====

# 4
DyAsN2O: simulated X-ray diffraction stick pattern (Cu Kα, 1.54184 Å), based on DFT lattice parameters and positions (PBE).
Kinematic intensities with the Lorentz-polarization factor, no thermal factor.

Peak list (8 most intense, 15 to 90 degrees two-theta, in order of rising 2θ)
two_theta, I (rel.)
30.1, 36
31.4, 46
33.5, 63
34.1, 100
44.0, 29
52.8, 24
57.6, 24
62.7, 30

Atomic structure:
```
DyAsN2O
1.0
3.404 0.000 0.000
0.000 6.049 0.000
0.000 0.000 5.703
Dy As N O
2 2 4 2
Direct
0.000 0.153 0.000
0.000 0.847 0.500
0.500 0.334 0.537
0.500 0.666 0.037
0.000 0.215 0.597
0.000 0.785 0.097
0.500 0.410 0.884
0.500 0.590 0.384
0.500 0.103 0.289
0.500 0.897 0.789
```

=====

# 5
CsPrAsO: simulated X-ray diffraction stick pattern (Cu Kα, 1.54184 Å), based on DFT lattice parameters and positions (PBE).
Kinematic intensities with the Lorentz-polarization factor, no thermal factor.

Peak list (8 most intense, 15 to 90 degrees two-theta, in order of rising 2θ)
two_theta, I (rel.)
23.6, 100
26.6, 63
28.7, 26
32.4, 44
33.6, 25
42.1, 29
46.1, 41
55.9, 23

Atomic structure:
```
CsPrAsO
1.0
3.656 0.000 0.000
0.000 8.392 0.000
0.000 0.000 8.449
Cs Pr As O
2 2 2 2
Direct
0.000 0.056 0.000
0.000 0.944 0.500
0.500 0.377 0.360
0.500 0.623 0.860
0.500 0.301 0.708
0.500 0.699 0.208
0.000 0.249 0.285
0.000 0.751 0.785
```

=====

# 6
RbPuAgTe2S: simulated X-ray diffraction stick pattern (Cu Kα, 1.54184 Å), based on DFT lattice parameters and positions (PBE).
Kinematic intensities with the Lorentz-polarization factor, no thermal factor.

Peak list (8 most intense, 15 to 90 degrees two-theta, in order of rising 2θ)
two_theta, I (rel.)
26.3, 33
28.9, 100
29.8, 80
32.0, 44
32.8, 64
36.6, 33
40.9, 73
42.5, 44

Atomic structure:
```
RbPuAgTe2S
1.0
9.025 0.000 0.000
0.000 4.256 0.000
-3.693 0.000 10.017
Rb Pu Ag Te S
2 2 2 4 2
Direct
0.235 0.250 0.235
0.765 0.750 0.765
0.167 0.750 0.638
0.833 0.250 0.362
0.426 0.250 0.898
0.574 0.750 0.102
0.241 0.750 0.943
0.408 0.250 0.629
0.592 0.750 0.371
0.759 0.250 0.057
0.025 0.750 0.372
0.975 0.250 0.628
```

=====

# 7
CsCdIrSe3: simulated X-ray diffraction stick pattern (Cu Kα, 1.54184 Å), based on DFT lattice parameters and positions (PBE).
Kinematic intensities with the Lorentz-polarization factor, no thermal factor.

Peak list (8 most intense, 15 to 90 degrees two-theta, in order of rising 2θ)
two_theta, I (rel.)
20.4, 55
28.9, 100
32.7, 66
34.8, 71
39.7, 66
44.8, 41
58.0, 36
60.0, 37

Atomic structure:
```
CsCdIrSe3
1.0
2.023 -8.083 0.000
2.023 8.083 0.000
0.000 0.000 10.307
Cs Cd Ir Se
2 2 2 6
Direct
0.247 0.753 0.750
0.753 0.247 0.250
0.455 0.545 0.250
0.545 0.455 0.750
0.000 0.000 0.000
0.000 0.000 0.500
0.061 0.939 0.250
0.399 0.601 0.017
0.399 0.601 0.483
0.601 0.399 0.517
0.601 0.399 0.983
0.939 0.061 0.750
```

=====

# 8
RbAg3SnS4: simulated X-ray diffraction stick pattern (Cu Kα, 1.54184 Å), based on DFT lattice parameters and positions (PBE).
Kinematic intensities with the Lorentz-polarization factor, no thermal factor.

Peak list (8 most intense, 15 to 90 degrees two-theta, in order of rising 2θ)
two_theta, I (rel.)
23.8, 65
27.5, 55
39.3, 100
46.4, 29
48.6, 17
56.8, 15
64.2, 24
71.2, 29

Atomic structure:
```
RbAg3SnS4
1.0
6.486 0.000 0.000
0.000 6.486 0.000
0.000 0.000 6.486
Rb Ag Sn S
1 3 1 4
Direct
0.000 0.000 0.000
0.000 0.500 0.500
0.500 0.000 0.500
0.500 0.500 0.000
0.500 0.500 0.500
0.285 0.285 0.285
0.285 0.715 0.715
0.715 0.285 0.715
0.715 0.715 0.285
```